1.
Tb2MgZn10: calculated X-ray diffraction stick pattern (λ = 1.5418 Å (Cu Kα)), based on a crystal structure in Alexandria, relaxed with PBE.
Neutral-atom scattering factors, no anomalous dispersion.

Most intense lines, 10 to 80 degrees two-theta, in order of rising 2θ:
- 2θ = 24.5°, d 3.632, intensity 19.7
- 2θ = 28.7°, d 3.112, intensity 26.1
- 2θ = 28.9°, d 3.094, intensity 55.6
- 2θ = 32.2°, d 2.778, intensity 34.7
- 2θ = 35.0°, d 2.564, intensity 100.0
- 2θ = 35.7°, d 2.518, intensity 32.8
- 2θ = 37.8°, d 2.380, intensity 66.5
- 2θ = 38.0°, d 2.370, intensity 72.8
- 2θ = 39.4°, d 2.289, intensity 39.5
- 2θ = 40.3°, d 2.240, intensity 24.0

Crystal structure
a b c (Å): 5.5561 5.8967 15.5161
angles (deg): 90.00 110.56 90.00
Fractional coordinates of all 26 atoms:
Tb: 0.0795 0.2204 0.0793
Tb: 0.0795 0.2796 0.5793
Tb: 0.9205 0.7204 0.4207
Tb: 0.9205 0.7796 0.9207
Mg: 0.5000 0.0000 0.5000
Mg: 0.5000 0.5000 0.0000
Zn: 0.0902 0.2193 0.3685
Zn: 0.0902 0.2807 0.8685
Zn: 0.2488 0.0372 0.7546
Zn: 0.2488 0.4628 0.2546
Zn: 0.3008 0.6038 0.7999
Zn: 0.3008 0.8962 0.2999
Zn: 0.3573 0.7208 0.1343
Zn: 0.3573 0.7792 0.6343
Zn: 0.4203 0.5421 0.4208
Zn: 0.4203 0.9579 0.9208
Zn: 0.5797 0.0421 0.0792
Zn: 0.5797 0.4579 0.5792
Zn: 0.6427 0.2208 0.3657
Zn: 0.6427 0.2792 0.8657
Zn: 0.6992 0.1038 0.7001
Zn: 0.6992 0.3962 0.2001
Zn: 0.7512 0.5372 0.7454
Zn: 0.7512 0.9628 0.2454
Zn: 0.9098 0.7193 0.1315
Zn: 0.9098 0.7807 0.6315



2.
Tb5Tm5Bi6: calculated X-ray diffraction stick pattern (λ = 1.5418 Å (Cu Kα)), based on a crystal structure in Alexandria, relaxed with PBE.
Neutral-atom scattering factors, no anomalous dispersion.

Most intense lines, 10 to 80 degrees two-theta, in order of rising 2θ:
- 2θ = 28.2°, d 3.170, intensity 32.5
- 2θ = 29.8°, d 3.000, intensity 22.2
- 2θ = 33.0°, d 2.712, intensity 95.8
- 2θ = 33.1°, d 2.704, intensity 45.8
- 2θ = 33.8°, d 2.650, intensity 22.5
- 2θ = 34.0°, d 2.639, intensity 45.2
- 2θ = 34.4°, d 2.606, intensity 100.0
- 2θ = 53.0°, d 1.728, intensity 30.3
- 2θ = 58.2°, d 1.585, intensity 20.5
- 2θ = 65.9°, d 1.417, intensity 18.8

Crystal structure
a b c (Å): 6.3400 9.1665 9.1665
angles (deg): 120.26 90.00 90.00
Fractional coordinates of all 16 atoms:
Tb: 0.0000 0.0000 0.0000
Tb: 0.2499 0.0923 0.4243
Tb: 0.2499 0.4243 0.0923
Tb: 0.7501 0.0923 0.4243
Tb: 0.7501 0.4243 0.0923
Tm: 0.0000 0.5166 0.7591
Tm: 0.0000 0.7591 0.5166
Tm: 0.5000 0.0012 0.7584
Tm: 0.5000 0.5202 0.5202
Tm: 0.5000 0.7584 0.0012
Bi: 0.0000 0.1467 0.7568
Bi: 0.0000 0.3730 0.3730
Bi: 0.0000 0.7568 0.1467
Bi: 0.5000 0.1463 0.1463
Bi: 0.5000 0.3713 0.7589
Bi: 0.5000 0.7589 0.3713



3.
Zr3Pd2Pt8: calculated X-ray diffraction stick pattern (λ = 1.5418 Å (Cu Kα)), based on a crystal structure in Alexandria, relaxed with PBE.
Neutral-atom scattering factors, no anomalous dispersion.

Most intense lines, 10 to 80 degrees two-theta, in order of rising 2θ:
- 2θ = 17.8°, d 4.988, intensity 45.3
- 2θ = 28.7°, d 3.109, intensity 23.2
- 2θ = 35.5°, d 2.530, intensity 23.7
- 2θ = 38.6°, d 2.332, intensity 71.2
- 2θ = 40.3°, d 2.239, intensity 100.0
- 2θ = 41.7°, d 2.168, intensity 52.3
- 2θ = 42.7°, d 2.118, intensity 22.0
- 2θ = 44.1°, d 2.054, intensity 57.1
- 2θ = 64.3°, d 1.449, intensity 31.8
- 2θ = 72.3°, d 1.308, intensity 31.1

Crystal structure
a b c (Å): 10.4235 10.4235 10.4235
angles (deg): 29.06 29.06 29.06
Fractional coordinates of all 13 atoms:
Zr: 0.0000 0.0000 0.0000
Zr: 0.1877 0.1877 0.1877
Zr: 0.8123 0.8123 0.8123
Pd: 0.3620 0.3620 0.3620
Pd: 0.6380 0.6380 0.6380
Pt: 0.2280 0.7282 0.7282
Pt: 0.2718 0.2718 0.7720
Pt: 0.2718 0.7720 0.2718
Pt: 0.2769 0.2769 0.2769
Pt: 0.7231 0.7231 0.7231
Pt: 0.7282 0.2280 0.7282
Pt: 0.7282 0.7282 0.2280
Pt: 0.7720 0.2718 0.2718



4.
Mg2CdAg: calculated X-ray diffraction stick pattern (λ = 1.5418 Å (Cu Kα)), based on a crystal structure in Alexandria, relaxed with PBE.
Neutral-atom scattering factors, no anomalous dispersion.

Most intense lines, 10 to 80 degrees two-theta, in order of rising 2θ:
- 2θ = 20.6°, d 4.314, intensity 52.1
- 2θ = 27.7°, d 3.218, intensity 19.1
- 2θ = 36.6°, d 2.458, intensity 25.3
- 2θ = 37.2°, d 2.418, intensity 100.0
- 2θ = 37.5°, d 2.401, intensity 24.8
- 2θ = 38.1°, d 2.361, intensity 13.9
- 2θ = 53.3°, d 1.717, intensity 16.2
- 2θ = 53.8°, d 1.703, intensity 9.9
- 2θ = 66.2°, d 1.411, intensity 15.4
- 2θ = 67.4°, d 1.389, intensity 25.8

Crystal structure
a b c (Å): 5.7290 5.7290 5.7290
angles (deg): 145.42 130.45 61.82
Fractional coordinates of all 4 atoms:
Mg: 0.0000 0.0000 0.0000
Mg: 0.7283 0.2283 0.5000
Cd: 0.4700 0.4700 0.0000
Ag: 0.2325 0.7325 0.5000



Q: Which formula does entry 2 have?
A: Tb5Tm5Bi6